[1]
Mg2Zn2Ga: calculated powder X-ray diffraction pattern (λ = 1.5418 Å (Cu Kα)), based on DFT lattice parameters and positions (PBE).
Lines closer than 0.1° are merged.

Most intense lines, 2θ = 10–90°, by intensity:
2θ 23.8, rel. 100.0
2θ 43.2, rel. 79.1
2θ 37.7, rel. 79.0
2θ 34.0, rel. 78.7
2θ 38.8, rel. 62.9
2θ 33.3, rel. 53.4
2θ 41.9, rel. 49.8
2θ 26.1, rel. 47.3
2θ 18.5, rel. 41.1
2θ 44.0, rel. 38.4

Structure:
```
data_Mg2Zn2Ga
_chemical_formula_sum 'Mg8 Zn8 Ga4'
_space_group_name_H-M_alt 'C 1 2/m 1'
_space_group_IT_number 12
_space_group_name_Hall '-C 2y'
_cell_length_a 9.616
_cell_length_b 4.191
_cell_length_c 10.202
_cell_angle_alpha 90.00
_cell_angle_beta 115.17
_cell_angle_gamma 90.00
loop_
_atom_site_label
_atom_site_type_symbol
_atom_site_fract_x
_atom_site_fract_y
_atom_site_fract_z
_atom_site_occupancy
Mg1 Mg 0.030 0.000 0.366 1
Mg2 Mg 0.161 0.500 0.202 1
Zn1 Zn 0.142 0.500 0.816 1
Zn2 Zn 0.158 0.500 0.568 1
Ga1 Ga 0.103 0.000 0.947 1
```

***

[2]
DyTm3Sc4: calculated powder X-ray diffraction pattern (λ = 1.5418 Å (Cu Kα)), based on DFT lattice parameters and positions (PBE).
Lines closer than 0.1° are merged.

Most intense lines, 2θ = 10–90°, by intensity:
2θ 34.4, rel. 100.0
2θ 12.8, rel. 30.3
2θ 25.8, rel. 27.7
2θ 29.9, rel. 24.2
2θ 33.5, rel. 24.1
2θ 53.1, rel. 23.4
2θ 64.3, rel. 20.9
2θ 60.4, rel. 19.2
2θ 45.5, rel. 18.3
2θ 64.9, rel. 15.2

Structure:
```
data_DyTm3Sc4
_chemical_formula_sum 'Dy2 Tm6 Sc8'
_space_group_name_H-M_alt 'P m n 21'
_space_group_IT_number 31
_space_group_name_Hall 'P 2ac -2'
_cell_length_a 10.708
_cell_length_b 6.892
_cell_length_c 5.971
_cell_angle_alpha 90.00
_cell_angle_beta 90.00
_cell_angle_gamma 90.00
loop_
_atom_site_label
_atom_site_type_symbol
_atom_site_fract_x
_atom_site_fract_y
_atom_site_fract_z
_atom_site_occupancy
Dy1 Dy 0.000 0.133 0.000 1
Tm1 Tm 0.000 0.868 0.499 1
Tm2 Tm 0.250 0.132 0.341 1
Sc1 Sc 0.000 0.382 0.506 1
Sc2 Sc 0.000 0.619 0.006 1
Sc3 Sc 0.249 0.618 0.334 1
```

***

[3]
SrZnCd: calculated powder X-ray diffraction pattern (λ = 1.5418 Å (Cu Kα)), based on DFT lattice parameters and positions (PBE).
Lines closer than 0.1° are merged.

Most intense lines, 2θ = 10–90°, by intensity:
2θ 36.8, rel. 100.0
2θ 30.7, rel. 91.9
2θ 30.8, rel. 66.0
2θ 37.1, rel. 53.6
2θ 32.2, rel. 23.9
2θ 31.8, rel. 21.6
2θ 35.4, rel. 20.9
2θ 61.4, rel. 20.2
2θ 63.0, rel. 19.2
2θ 53.3, rel. 18.9

Structure:
```
data_SrZnCd
_chemical_formula_sum 'Sr4 Zn4 Cd4'
_space_group_name_H-M_alt 'C 1 2/m 1'
_space_group_IT_number 12
_space_group_name_Hall '-C 2y'
_cell_length_a 11.144
_cell_length_b 4.843
_cell_length_c 7.824
_cell_angle_alpha 90.00
_cell_angle_beta 130.32
_cell_angle_gamma 90.00
loop_
_atom_site_label
_atom_site_type_symbol
_atom_site_fract_x
_atom_site_fract_y
_atom_site_fract_z
_atom_site_occupancy
Sr1 Sr 0.056 0.000 0.303 1
Zn1 Zn 0.145 0.500 0.698 1
Cd1 Cd 0.177 0.500 0.104 1
```

***

[4]
ErPt3: calculated powder X-ray diffraction pattern (λ = 1.5418 Å (Cu Kα)), based on DFT lattice parameters and positions (PBE).
Lines closer than 0.1° are merged.

Most intense lines, 2θ = 10–90°, by intensity:
2θ 38.0, rel. 100.0
2θ 44.2, rel. 49.4
2θ 77.2, rel. 39.1
2θ 64.3, rel. 32.8
2θ 81.3, rel. 11.5

Structure:
```
data_ErPt3
_chemical_formula_sum 'Er1 Pt3'
_space_group_name_H-M_alt 'P m -3 m'
_space_group_IT_number 221
_space_group_name_Hall '-P 4 2 3'
_cell_length_a 4.100
_cell_length_b 4.100
_cell_length_c 4.100
_cell_angle_alpha 90.00
_cell_angle_beta 90.00
_cell_angle_gamma 90.00
loop_
_atom_site_label
_atom_site_type_symbol
_atom_site_fract_x
_atom_site_fract_y
_atom_site_fract_z
_atom_site_occupancy
Er1 Er 0.000 0.000 0.000 1
Pt1 Pt 0.000 0.500 0.500 1
```

***

[5]
FeCoHg: calculated powder X-ray diffraction pattern (λ = 1.5418 Å (Cu Kα)), based on DFT lattice parameters and positions (PBE).
Lines closer than 0.1° are merged.

Most intense lines, 2θ = 10–90°, by intensity:
2θ 41.0, rel. 100.0
2θ 30.9, rel. 54.8
2θ 42.2, rel. 50.0
2θ 76.2, rel. 31.4
2θ 18.4, rel. 21.5
2θ 57.6, rel. 17.9
2θ 61.1, rel. 16.3
2θ 37.4, rel. 15.5
2θ 73.8, rel. 13.6
2θ 76.0, rel. 12.1

Structure:
```
data_FeCoHg
_chemical_formula_sum 'Fe2 Co2 Hg2'
_space_group_name_H-M_alt 'I 4 m m'
_space_group_IT_number 107
_space_group_name_Hall 'I 4 -2'
_cell_length_a 3.031
_cell_length_b 3.031
_cell_length_c 9.626
_cell_angle_alpha 90.00
_cell_angle_beta 90.00
_cell_angle_gamma 90.00
loop_
_atom_site_label
_atom_site_type_symbol
_atom_site_fract_x
_atom_site_fract_y
_atom_site_fract_z
_atom_site_occupancy
Fe1 Fe 0.000 0.000 0.000 1
Co1 Co 0.000 0.000 0.617 1
Hg1 Hg 0.000 0.000 0.306 1
```

***

[6]
Pr3Nd4Sm: calculated powder X-ray diffraction pattern (λ = 1.5418 Å (Cu Kα)), based on DFT lattice parameters and positions (PBE).
Lines closer than 0.1° are merged.

Most intense lines, 2θ = 10–90°, by intensity:
2θ 29.7, rel. 100.0
2θ 34.4, rel. 50.7
2θ 58.7, rel. 43.4
2θ 49.4, rel. 36.4
2θ 80.3, rel. 17.6
2θ 82.8, rel. 16.4
2θ 61.6, rel. 12.5
2θ 72.5, rel. 5.8

Structure:
```
data_Pr3Nd4Sm
_chemical_formula_sum 'Pr6 Nd8 Sm2'
_space_group_name_H-M_alt 'P m n a'
_space_group_IT_number 53
_space_group_name_Hall '-P 2ac 2'
_cell_length_a 10.428
_cell_length_b 7.372
_cell_length_c 7.373
_cell_angle_alpha 90.00
_cell_angle_beta 90.00
_cell_angle_gamma 90.00
loop_
_atom_site_label
_atom_site_type_symbol
_atom_site_fract_x
_atom_site_fract_y
_atom_site_fract_z
_atom_site_occupancy
Pr1 Pr 0.000 0.000 0.000 1
Pr2 Pr 0.250 0.251 0.250 1
Nd1 Nd 0.000 0.000 0.500 1
Nd2 Nd 0.000 0.500 0.000 1
Nd3 Nd 0.250 0.251 0.750 1
Sm1 Sm 0.000 0.500 0.500 1
```

***

[7]
Ac2Zn2In3: calculated powder X-ray diffraction pattern (λ = 1.5418 Å (Cu Kα)), based on DFT lattice parameters and positions (PBE).
Lines closer than 0.1° are merged.

Most intense lines, 2θ = 10–90°, by intensity:
2θ 30.4, rel. 100.0
2θ 30.0, rel. 80.9
2θ 36.6, rel. 37.4
2θ 39.5, rel. 31.5
2θ 55.0, rel. 24.1
2θ 61.9, rel. 20.9
2θ 34.3, rel. 19.8
2θ 49.5, rel. 17.9
2θ 28.1, rel. 16.5
2θ 68.4, rel. 14.7

Structure:
```
data_Ac2Zn2In3
_chemical_formula_sum 'Ac8 Zn8 In12'
_space_group_name_H-M_alt 'C m c m'
_space_group_IT_number 63
_space_group_name_Hall '-C 2c 2'
_cell_length_a 4.910
_cell_length_b 20.940
_cell_length_c 7.601
_cell_angle_alpha 90.00
_cell_angle_beta 90.00
_cell_angle_gamma 90.00
loop_
_atom_site_label
_atom_site_type_symbol
_atom_site_fract_x
_atom_site_fract_y
_atom_site_fract_z
_atom_site_occupancy
Ac1 Ac 0.000 0.048 0.250 1
Ac2 Ac 0.000 0.165 0.750 1
Zn1 Zn 0.000 0.315 0.570 1
In1 In 0.000 0.221 0.250 1
In2 In 0.000 0.436 0.064 1
```

***

[8]
ZrS6F2: calculated powder X-ray diffraction pattern (λ = 1.5418 Å (Cu Kα)), based on DFT lattice parameters and positions (PBE).
Lines closer than 0.1° are merged.

Most intense lines, 2θ = 10–90°, by intensity:
2θ 12.8, rel. 100.0
2θ 13.9, rel. 78.7
2θ 22.6, rel. 44.2
2θ 31.7, rel. 26.4
2θ 33.6, rel. 25.0
2θ 21.8, rel. 23.2
2θ 25.4, rel. 21.6
2θ 29.7, rel. 20.5
2θ 29.5, rel. 15.2
2θ 34.8, rel. 14.8

Structure:
```
data_ZrS6F2
_chemical_formula_sum 'Zr1 S6 F2'
_space_group_name_H-M_alt 'P 1'
_space_group_IT_number 1
_space_group_name_Hall 'P 1'
_cell_length_a 3.981
_cell_length_b 7.342
_cell_length_c 8.487
_cell_angle_alpha 109.86
_cell_angle_beta 98.43
_cell_angle_gamma 90.25
loop_
_atom_site_label
_atom_site_type_symbol
_atom_site_fract_x
_atom_site_fract_y
_atom_site_fract_z
_atom_site_occupancy
Zr1 Zr 0.000 0.000 0.000 1
S1 S 0.096 0.856 0.489 1
S2 S 0.113 0.313 0.253 1
S3 S 0.216 0.678 0.827 1
S4 S 0.248 0.165 0.596 1
S5 S 0.463 0.219 0.415 1
S6 S 0.885 0.774 0.664 1
F1 F 0.503 0.092 0.956 1
F2 F 0.855 0.865 0.140 1
```

***

[9]
PaCd2CuO6: calculated powder X-ray diffraction pattern (λ = 1.5418 Å (Cu Kα)), based on DFT lattice parameters and positions (PBE).
Lines closer than 0.1° are merged.

Most intense lines, 2θ = 10–90°, by intensity:
2θ 28.8, rel. 100.0
2θ 30.6, rel. 70.7
2θ 31.7, rel. 35.6
2θ 18.2, rel. 29.1
2θ 19.9, rel. 27.4
2θ 49.7, rel. 25.6
2θ 37.2, rel. 23.7
2θ 47.3, rel. 23.4
2θ 38.3, rel. 22.3
2θ 34.2, rel. 16.9

Structure:
```
data_PaCd2CuO6
_chemical_formula_sum 'Pa2 Cd4 Cu2 O12'
_space_group_name_H-M_alt 'C 1 2 1'
_space_group_IT_number 5
_space_group_name_Hall 'C 2y'
_cell_length_a 10.643
_cell_length_b 5.645
_cell_length_c 5.263
_cell_angle_alpha 90.00
_cell_angle_beta 114.83
_cell_angle_gamma 90.00
loop_
_atom_site_label
_atom_site_type_symbol
_atom_site_fract_x
_atom_site_fract_y
_atom_site_fract_z
_atom_site_occupancy
Pa1 Pa 0.000 0.000 0.000 1
Cd1 Cd 0.248 0.999 0.682 1
Cu1 Cu 0.000 0.500 0.500 1
O1 O 0.082 0.728 0.361 1
O2 O 0.083 0.271 0.362 1
O3 O 0.195 0.001 0.036 1
```

***

[10]
AcZn12Ir4: calculated powder X-ray diffraction pattern (λ = 1.5418 Å (Cu Kα)), based on DFT lattice parameters and positions (PBE).
Lines closer than 0.1° are merged.

Most intense lines, 2θ = 10–90°, by intensity:
2θ 18.7, rel. 100.0
2θ 38.0, rel. 74.7
2θ 26.6, rel. 71.0
2θ 23.0, rel. 54.9
2θ 47.0, rel. 54.5
2θ 42.7, rel. 50.6
2θ 54.8, rel. 39.8
2θ 53.0, rel. 30.3
2θ 40.4, rel. 28.7
2θ 87.4, rel. 26.0

Structure:
```
data_AcZn12Ir4
_chemical_formula_sum 'Ac2 Zn24 Ir8'
_space_group_name_H-M_alt 'I m -3'
_space_group_IT_number 204
_space_group_name_Hall '-I 2 2 3'
_cell_length_a 9.472
_cell_length_b 9.472
_cell_length_c 9.472
_cell_angle_alpha 90.00
_cell_angle_beta 90.00
_cell_angle_gamma 90.00
loop_
_atom_site_label
_atom_site_type_symbol
_atom_site_fract_x
_atom_site_fract_y
_atom_site_fract_z
_atom_site_occupancy
Ac1 Ac 0.000 0.000 0.000 1
Zn1 Zn 0.000 0.289 0.288 1
Ir1 Ir 0.250 0.250 0.250 1
```

***

[11]
CePmTlCd: calculated powder X-ray diffraction pattern (λ = 1.5418 Å (Cu Kα)), based on DFT lattice parameters and positions (PBE).
Lines closer than 0.1° are merged.

Most intense lines, 2θ = 10–90°, by intensity:
2θ 32.7, rel. 100.0
2θ 58.4, rel. 38.0
2θ 47.0, rel. 18.3
2θ 78.1, rel. 16.3
2θ 68.6, rel. 11.7
2θ 19.9, rel. 4.3
2θ 87.3, rel. 4.2
2θ 38.6, rel. 2.6
2θ 51.5, rel. 1.2
2θ 72.2, rel. 1.0

Structure:
```
data_CePmTlCd
_chemical_formula_sum 'Ce4 Pm4 Tl4 Cd4'
_space_group_name_H-M_alt 'F -4 3 m'
_space_group_IT_number 216
_space_group_name_Hall 'F -4 2 3'
_cell_length_a 7.737
_cell_length_b 7.737
_cell_length_c 7.737
_cell_angle_alpha 90.00
_cell_angle_beta 90.00
_cell_angle_gamma 90.00
loop_
_atom_site_label
_atom_site_type_symbol
_atom_site_fract_x
_atom_site_fract_y
_atom_site_fract_z
_atom_site_occupancy
Ce1 Ce 0.000 0.000 0.000 1
Pm1 Pm 0.000 0.000 0.500 1
Tl1 Tl 0.250 0.250 0.250 1
Cd1 Cd 0.250 0.250 0.750 1
```

***

[12]
PtC8N6: calculated powder X-ray diffraction pattern (λ = 1.5418 Å (Cu Kα)), based on DFT lattice parameters and positions (PBE).
Lines closer than 0.1° are merged.

Most intense lines, 2θ = 10–90°, by intensity:
2θ 13.7, rel. 100.0
2θ 23.1, rel. 96.0
2θ 11.2, rel. 93.3
2θ 21.6, rel. 79.5
2θ 21.1, rel. 69.9
2θ 28.1, rel. 40.0
2θ 33.5, rel. 38.3
2θ 39.1, rel. 33.3
2θ 47.1, rel. 28.2
2θ 36.4, rel. 24.4

Structure:
```
data_PtC8N6
_chemical_formula_sum 'Pt2 C16 N12'
_space_group_name_H-M_alt 'P m n a'
_space_group_IT_number 53
_space_group_name_Hall '-P 2ac 2'
_cell_length_a 7.066
_cell_length_b 4.815
_cell_length_c 15.742
_cell_angle_alpha 90.00
_cell_angle_beta 90.00
_cell_angle_gamma 90.00
loop_
_atom_site_label
_atom_site_type_symbol
_atom_site_fract_x
_atom_site_fract_y
_atom_site_fract_z
_atom_site_occupancy
Pt1 Pt 0.000 0.000 0.000 1
C1 C 0.000 0.348 0.358 1
C2 C 0.000 0.483 0.715 1
C3 C 0.167 0.255 0.396 1
N1 N 0.000 0.343 0.776 1
N2 N 0.201 0.170 0.068 1
```